Structure and computed powder XRD pattern of Ba2TaCoO6 (the PBE+U geometry in the Materials Project; Cu Kα (λ = 1.5418 Å)).
Lines closer than 0.1° are merged.

The 10 most intense peaks (2θ = 10–90°), in order of rising 2θ:
19.09°, 4.648 Å, I = 13
31.43°, 2.846 Å, I = 100
37.03°, 2.427 Å, I = 8
45.04°, 2.013 Å, I = 30
49.34°, 1.847 Å, I = 4
55.95°, 1.643 Å, I = 40
59.68°, 1.549 Å, I = 3
65.59°, 1.423 Å, I = 18
74.54°, 1.273 Å, I = 17
83.12°, 1.162 Å, I = 6

Atomic structure:
```
Ba2TaCoO6
1.0
0.000 4.026 4.026
4.026 0.000 4.026
4.026 4.026 0.000
Ba Ta Co O
2 1 1 6
direct
0.250 0.250 0.250
0.750 0.750 0.750
0.000 0.000 0.000
0.500 0.500 0.500
0.251 0.251 0.749
0.251 0.749 0.251
0.251 0.749 0.749
0.749 0.251 0.251
0.749 0.251 0.749
0.749 0.749 0.251
```